# 1
For Pm2Dy6TmMg, a crystal structure in Alexandria, relaxed with GGA-PBE gives the calculated X-ray powder pattern in this record (a wavelength of 1.5418 Å).

Top 10 peaks for 2θ from 15° to 90°, by angle:
- hkl 3 1 0, 2θ = 27.83°, intensity 26.9
- hkl 1 5 1, 2θ = 28.82°, intensity 19.8
- hkl 1 3 -2, 2θ = 30.76°, intensity 11.7
- hkl 3 3 -1, 2θ = 31.89°, intensity 60.0
- hkl 0 4 2, 2θ = 32.99°, intensity 100.0
- hkl 1 7 0, 2θ = 33.27°, intensity 32.0
- hkl 3 7 1, 2θ = 46.33°, intensity 11.1
- hkl 3 1 -3, 2θ = 46.77°, intensity 9.5
- hkl 3 3 3, 2θ = 56.27°, intensity 14.1
- hkl 0 0 4, 2θ = 56.47°, intensity 17.8

Crystal structure
Cell lengths 9.872, 19.617, 6.595 Å; angles 90.00, 98.95, 90.00 degrees
Space group C2/c (No. 15)
Symmetry-distinct sites (fractional):
Pm: 0.234 0.082 0.498 (multiplicity 8)
Dy: 0.058 0.353 0.028 (multiplicity 8)
Dy: 0.117 0.086 0.984 (multiplicity 8)
Dy: 0.177 0.238 0.723 (multiplicity 8)
Tm: 0.000 0.493 0.750 (multiplicity 4)
Mg: 0.000 0.206 0.250 (multiplicity 4)

# 2
For Pm6Pr12Tl, a crystal structure in Alexandria, relaxed with GGA-PBE gives the calculated X-ray powder pattern in this record (a wavelength of 1.5418 Å).

Top 10 peaks for 2θ from 15° to 90°, by angle:
- hkl 3 -1 1, 2θ = 22.92°, intensity 13.4
- hkl 0 1 5, 2θ = 29.93°, intensity 44.9
- hkl 0 3 3, 2θ = 30.61°, intensity 31.5
- hkl 4 -3 1, 2θ = 30.95°, intensity 100.0
- hkl 2 1 4, 2θ = 32.07°, intensity 69.8
- hkl 3 1 2, 2θ = 32.55°, intensity 35.2
- hkl 4 -2 3, 2θ = 34.01°, intensity 22.0
- hkl 3 2 4, 2θ = 43.90°, intensity 13.2
- hkl 2 5 0, 2θ = 54.01°, intensity 12.7
- hkl 1 5 5, 2θ = 56.69°, intensity 14.2

Crystal structure
Cell lengths 12.2424, 12.2424, 15.5574 Å; angles 90.00, 90.00, 120.00 degrees
Space group R-3 (No. 148, hexagonal axes)
Symmetry-distinct sites (fractional):
Pm: 0.0206 0.5900 0.1882 (multiplicity 18)
Pr: 0.0064 0.8304 0.3135 (multiplicity 18)
Pr: 0.0480 0.2005 0.9162 (multiplicity 18)
Tl: 0.0000 0.0000 0.5000 (multiplicity 3)

# 3
For Pr4PdRh3, a crystal structure in Alexandria, relaxed with GGA-PBE gives the calculated X-ray powder pattern in this record (a wavelength of 1.5418 Å).

Top 10 peaks for 2θ from 15° to 90°, by angle:
- hkl 1 1 1, 2θ = 31.53°, intensity 100.0
- hkl 0 0 4, 2θ = 32.34°, intensity 31.6
- hkl 1 0 3, 2θ = 33.07°, intensity 22.9
- hkl 0 1 4, 2θ = 38.58°, intensity 20.8
- hkl 1 1 3, 2θ = 39.21°, intensity 62.8
- hkl 0 2 0, 2θ = 41.64°, intensity 26.7
- hkl 2 0 0, 2θ = 45.49°, intensity 20.7
- hkl 0 2 4, 2θ = 53.69°, intensity 14.9
- hkl 2 2 0, 2θ = 63.36°, intensity 15.2
- hkl 1 2 7, 2θ = 78.61°, intensity 13.2

Crystal structure
Cell lengths 3.988, 4.337, 11.073 Å; angles 90.00, 90.00, 90.00 degrees
Space group Pmm2 (No. 25)
Symmetry-distinct sites (fractional):
Pr: 0.000 0.000 0.000 (multiplicity 1)
Pr: 0.000 0.500 0.273 (multiplicity 1)
Pr: 0.500 0.000 0.490 (multiplicity 1)
Pr: 0.500 0.500 0.775 (multiplicity 1)
Pd: 0.000 0.000 0.716 (multiplicity 1)
Rh: 0.000 0.500 0.548 (multiplicity 1)
Rh: 0.500 0.000 0.219 (multiplicity 1)
Rh: 0.500 0.500 0.043 (multiplicity 1)

# 4
For Th2NiPb, a crystal structure in Alexandria, relaxed with GGA-PBE gives the calculated X-ray powder pattern in this record (a wavelength of 1.5418 Å).

Top 10 peaks for 2θ from 15° to 90°, by angle:
- hkl 1 0 1, 2θ = 27.99°, intensity 24.3
- hkl 0 0 3, 2θ = 30.74°, intensity 15.5
- hkl 1 0 2, 2θ = 33.26°, intensity 100.0
- hkl 1 1 0, 2θ = 37.12°, intensity 45.1
- hkl 1 1 3, 2θ = 48.94°, intensity 17.8
- hkl 2 0 0, 2θ = 53.51°, intensity 16.0
- hkl 1 1 4, 2θ = 56.81°, intensity 11.8
- hkl 1 0 5, 2θ = 59.45°, intensity 15.6
- hkl 2 1 2, 2θ = 64.48°, intensity 30.5
- hkl 2 1 5, 2θ = 84.09°, intensity 12.4

Crystal structure
Cell lengths 3.425, 3.425, 8.725 Å; angles 90.00, 90.00, 90.00 degrees
Space group P4/mmm (No. 123)
Symmetry-distinct sites (fractional):
Th: 0.000 0.000 0.207 (multiplicity 2)
Ni: 0.500 0.500 0.000 (multiplicity 1)
Pb: 0.500 0.500 0.500 (multiplicity 1)

Please write out number 2 again, unchanged.
For Pm6Pr12Tl, a crystal structure in Alexandria, relaxed with GGA-PBE gives the calculated X-ray powder pattern in this record (a wavelength of 1.5418 Å).

Top 10 peaks for 2θ from 15° to 90°, by angle:
- hkl 3 -1 1, 2θ = 22.92°, intensity 13.4
- hkl 0 1 5, 2θ = 29.93°, intensity 44.9
- hkl 0 3 3, 2θ = 30.61°, intensity 31.5
- hkl 4 -3 1, 2θ = 30.95°, intensity 100.0
- hkl 2 1 4, 2θ = 32.07°, intensity 69.8
- hkl 3 1 2, 2θ = 32.55°, intensity 35.2
- hkl 4 -2 3, 2θ = 34.01°, intensity 22.0
- hkl 3 2 4, 2θ = 43.90°, intensity 13.2
- hkl 2 5 0, 2θ = 54.01°, intensity 12.7
- hkl 1 5 5, 2θ = 56.69°, intensity 14.2

Crystal structure
Cell lengths 12.2424, 12.2424, 15.5574 Å; angles 90.00, 90.00, 120.00 degrees
Space group R-3 (No. 148, hexagonal axes)
Symmetry-distinct sites (fractional):
Pm: 0.0206 0.5900 0.1882 (multiplicity 18)
Pr: 0.0064 0.8304 0.3135 (multiplicity 18)
Pr: 0.0480 0.2005 0.9162 (multiplicity 18)
Tl: 0.0000 0.0000 0.5000 (multiplicity 3)